No. 1
This entry pairs a crystal structure of Ti5Ga2H2 with its simulated powder diffractogram. Radiation: Cu Ka. Structure: the PBE geometry in Alexandria.
Neutral-atom scattering factors, no anomalous dispersion.

Structure:
```
Ti5Ga2H2
1.0
-6.8200 3.4082 2.7235
6.8200 -3.4082 2.7235
6.8200 3.4082 -2.7235
Ti Ga H
10 4 4
direct
0.0672 0.9949 0.5722
0.2499 0.0415 0.2914
0.2499 0.4585 0.7083
0.4227 0.4949 0.4278
0.6971 0.1049 0.3018
0.6971 0.8953 0.0922
0.7501 0.5415 0.2917
0.7501 0.9585 0.7086
0.8031 0.3953 0.6982
0.8031 0.6049 0.9078
0.1805 0.3505 0.0332
0.1805 0.6473 0.3300
0.3173 0.1473 0.9668
0.3173 0.8505 0.6700
0.5109 0.3361 0.6749
0.6612 0.8361 0.3251
0.7519 0.2519 0.5000
0.7519 0.7519 0.0000
```

Main lines, in order of falling intensity (2θ from 10° to 90°):
d_spacing, 2theta, I_rel
2.128, 42.48, 100
2.210, 40.83, 73
2.411, 37.30, 72
2.032, 44.59, 70
2.532, 35.46, 69
2.005, 45.22, 67
2.439, 36.86, 44
2.723, 32.89, 41
2.241, 40.24, 39
1.299, 72.78, 35
6.820, 12.98, 29
3.410, 26.13, 26


No. 2
This entry pairs a crystal structure of TlGaH with its simulated powder diffractogram. Radiation: Cu Ka. Structure: the PBE geometry in Alexandria.
Neutral-atom scattering factors, no anomalous dispersion.

Structure:
```
TlGaH
1.0
10.7929 0.0000 0.0000
0.0000 5.1529 0.0000
-1.0569 0.0000 4.5361
Tl Ga H
4 4 4
direct
0.0000 0.0000 0.0000
0.2174 0.0000 0.5910
0.5000 0.5000 0.0000
0.7174 0.5000 0.5910
0.0473 0.5000 0.6892
0.4038 0.0000 0.1526
0.5473 0.0000 0.6892
0.9038 0.5000 0.1526
0.2389 0.5000 0.3626
0.2916 0.5000 0.2758
0.7389 0.0000 0.3626
0.7916 0.0000 0.2758
```

Main lines, in order of falling intensity (2θ from 10° to 90°):
d_spacing, 2theta, I_rel
2.681, 33.43, 100
4.627, 19.18, 78
3.103, 28.77, 62
2.122, 42.61, 48
2.576, 34.82, 48
1.982, 45.77, 35
3.899, 22.81, 35
3.089, 28.91, 32
1.947, 46.65, 31
2.257, 39.94, 25
2.628, 34.12, 19
1.507, 61.55, 17


No. 3
This entry pairs a crystal structure of V3GaH with its simulated powder diffractogram. Radiation: Cu Ka. Structure: the PBE geometry in Alexandria.
Neutral-atom scattering factors, no anomalous dispersion.

Structure:
```
V3GaH
1.0
4.5025 -2.8615 0.0000
4.5025 2.8615 0.0000
-0.2750 0.0000 4.4113
V Ga H
6 2 2
direct
0.1075 0.1075 0.2397
0.3828 0.4000 0.7667
0.6000 0.6172 0.2333
0.6053 0.1020 0.2623
0.8925 0.8925 0.7603
0.8980 0.3947 0.7377
0.0943 0.6041 0.2593
0.3959 0.9057 0.7407
0.6358 0.3642 0.5000
0.7429 0.2571 0.0000
```

Main lines, in order of falling intensity (2θ from 10° to 90°):
d_spacing, 2theta, I_rel
2.148, 42.07, 100
2.088, 43.33, 93
2.206, 40.92, 58
2.247, 40.13, 46
1.275, 74.42, 15
1.625, 56.63, 15
1.238, 77.06, 14
1.200, 79.92, 14
1.431, 65.21, 13
1.527, 60.63, 13
2.055, 44.08, 12
1.207, 79.40, 11